No. 1
# Ta3V7Si6
Calculated PXRD pattern, copper Kα. Input: a structure optimized by DFT (GGA-PBE).

Most intense lines, 10° ≤ 2θ ≤ 90°, sorted by position:
Position (°2θ)	d_spacing	intensity
18.12	4.895	289
22.98	3.870	234
30.55	2.926	322
37.65	2.389	464
42.08	2.147	1000
44.58	2.033	314
53.60	1.710	235
69.80	1.347	223

Structure:
```
Ta3V7Si6
1.0
7.2994 0.0000 0.0000
-3.6497 6.3215 0.0000
0.0000 0.0000 4.8949
Ta V Si
3 7 6
direct
0.0000 0.2291 0.0000
0.2291 0.0000 0.0000
0.7709 0.7709 0.0000
0.0000 0.7363 0.5000
0.2637 0.2637 0.5000
0.3333 0.6667 0.2534
0.3333 0.6667 0.7466
0.6667 0.3333 0.2534
0.6667 0.3333 0.7466
0.7363 0.0000 0.5000
0.0000 0.3897 0.5000
0.0000 0.5916 0.0000
0.3897 0.0000 0.5000
0.4084 0.4084 0.0000
0.5916 0.0000 0.0000
0.6103 0.6103 0.5000
```


No. 2
# SiO2
Calculated PXRD pattern, copper Kα. Input: a structure optimized by DFT (GGA-PBE).

Most intense lines, 10° ≤ 2θ ≤ 90°, sorted by position:
Position (°2θ)	d_spacing	intensity
13.56	6.532	1000
14.34	6.175	454
21.41	4.151	971
24.06	3.699	960
25.43	3.503	536
27.31	3.266	986
34.96	2.567	231
37.65	2.389	255

Structure:
```
SiO2
1.0
-4.6189 4.6189 4.1507
4.6189 -4.6189 4.1507
4.6189 4.6189 -4.1507
Si O
8 16
direct
0.0232 0.2554 0.6422
0.2554 0.0232 0.6422
0.3810 0.6132 0.3578
0.3868 0.7446 0.7678
0.6132 0.3810 0.3578
0.6190 0.9768 0.2322
0.7446 0.3868 0.7678
0.9768 0.6190 0.2322
0.1222 0.5146 0.2529
0.1259 0.1259 0.7100
0.1307 0.8778 0.3924
0.2168 0.5000 0.7168
0.2617 0.8693 0.7471
0.4159 0.4159 0.2900
0.4854 0.7383 0.6076
0.5000 0.2168 0.7168
0.5000 0.7832 0.2832
0.5146 0.1222 0.2529
0.5841 0.8741 0.0000
0.7383 0.4854 0.6076
0.7832 0.5000 0.2832
0.8693 0.2617 0.7471
0.8741 0.5841 0.0000
0.8778 0.1307 0.3924
```